1.
Ag6Br5Cl2: calculated PXRD pattern (Cu Ka), based on the PBE geometry in Alexandria.

Structural model:
Lattice parameters (Å, degrees): 19.657 7.341 12.669 90.00 124.21 90.00
Space group C2/c (No. 15)
Inequivalent atoms, fractional coordinates:
Ag1 0.058 0.041 0.194
Ag2 0.148 0.218 0.015
Ag3 0.249 0.154 0.618
Br1 0.000 0.242 0.750
Br2 0.105 0.369 0.170
Br3 0.230 0.036 0.910
Cl1 0.098 0.112 0.530

The 10 most intense peaks (2θ from 10° to 90°), in order of falling intensity:
18.16°, 4.884 Å, intensity 100, hkl 3 1 -1
13.23°, 6.690 Å, intensity 95, hkl 1 1 0
24.86°, 3.581 Å, intensity 92, hkl 2 0 2
40.11°, 2.248 Å, intensity 74, hkl 3 3 -2
37.46°, 2.401 Å, intensity 68, hkl 6 2 -3
28.32°, 3.152 Å, intensity 68, hkl 4 0 -4
30.77°, 2.906 Å, intensity 64, hkl 4 2 -2
31.88°, 2.807 Å, intensity 57, hkl 5 1 -4
35.37°, 2.538 Å, intensity 53, hkl 5 1 1
39.71°, 2.270 Å, intensity 45, hkl 1 3 -2


2.
Ag3BrCl3: calculated PXRD pattern (Cu Ka), based on the PBE geometry in Alexandria.

Structural model:
Lattice parameters (Å, degrees): 8.543 5.122 8.682 90.00 105.96 90.00
Space group P2_1/m (No. 11)
Inequivalent atoms, fractional coordinates:
Ag1 0.130 0.250 0.437
Ag2 0.175 0.250 0.009
Ag3 0.358 0.750 0.791
Br1 0.377 0.250 0.309
Cl1 0.106 0.750 0.900
Cl2 0.125 0.750 0.453
Cl3 0.367 0.250 0.811

The 10 most intense peaks (2θ from 10° to 90°), in order of falling intensity:
20.37°, 4.360 Å, intensity 100, hkl 0 1 1
26.48°, 3.366 Å, intensity 84, hkl 1 0 2
33.86°, 2.647 Å, intensity 62, hkl 3 0 -2
35.04°, 2.561 Å, intensity 56, hkl 0 2 0
49.52°, 1.841 Å, intensity 39, hkl 3 2 -2
44.45°, 2.038 Å, intensity 39, hkl 1 2 2
40.98°, 2.202 Å, intensity 29, hkl 1 1 3
42.88°, 2.109 Å, intensity 22, hkl 2 0 -4
44.10°, 2.054 Å, intensity 21, hkl 4 0 0
56.53°, 1.628 Å, intensity 18, hkl 2 2 -4


3.
AgBrCl2: calculated PXRD pattern (Cu Ka), based on the PBE geometry in Alexandria.

Structural model:
Lattice parameters (Å, degrees): 10.090 6.831 8.294 90.00 127.45 90.00
Space group C2/c (No. 15)
Inequivalent atoms, fractional coordinates:
Ag1 0.000 0.002 0.250
Br1 0.000 0.500 0.250
Cl1 0.210 0.000 0.127

The 10 most intense peaks (2θ from 10° to 90°), in order of falling intensity:
26.09°, 3.415 Å, intensity 100, hkl 0 2 0
22.20°, 4.004 Å, intensity 84, hkl 2 0 -2
34.51°, 2.599 Å, intensity 56, hkl 2 2 -2
27.09°, 3.292 Å, intensity 49, hkl 0 0 2
52.80°, 1.734 Å, intensity 43, hkl 2 2 -4
44.66°, 2.029 Å, intensity 40, hkl 4 2 -2
35.59°, 2.522 Å, intensity 39, hkl 4 0 -2
37.96°, 2.370 Å, intensity 39, hkl 0 2 2
45.05°, 2.012 Å, intensity 35, hkl 2 0 -4
53.01°, 1.727 Å, intensity 29, hkl 4 2 0


4.
Ag5Br2Cl4: calculated PXRD pattern (Cu Ka), based on the PBE geometry in Alexandria.

Structural model:
Lattice parameters (Å, degrees): 4.1623 4.1623 57.5720 90.00 90.00 120.00
Space group R-3m (No. 166, hexagonal axes)
Inequivalent atoms, fractional coordinates:
Ag1 0.0000 0.0000 0.0000
Ag2 0.0000 0.0000 0.1257
Ag3 0.0000 0.0000 0.2739
Br1 0.0000 0.0000 0.3609
Cl1 0.0000 0.0000 0.0792
Cl2 0.0000 0.0000 0.1949

The 10 most intense peaks (2θ from 10° to 90°), in order of falling intensity:
43.48°, 2.081 Å, intensity 100, hkl 1 1 0
27.68°, 3.223 Å, intensity 85, hkl 0 1 8
30.10°, 2.969 Å, intensity 69, hkl 0 1 11
33.05°, 2.711 Å, intensity 58, hkl 0 1 14
46.81°, 1.941 Å, intensity 47, hkl 1 0 25
23.17°, 3.838 Å, intensity 41, hkl 0 0 15
42.70°, 2.118 Å, intensity 34, hkl 1 0 22
24.75°, 3.598 Å, intensity 31, hkl 1 0 1
32.01°, 2.796 Å, intensity 30, hkl 1 0 13
49.84°, 1.830 Å, intensity 28, hkl 1 1 15


> What is the formula in the first record?

Ag6Br5Cl2